Theoretical powder diffractogram
Compound: Li2CeVO4
Radiation: Cu Kα
Structure: a crystal structure in Alexandria, relaxed with GGA+U
Lines closer than 0.1° are merged.

Main lines, low angle first (10° ≤ 2θ ≤ 90°):
- 19.6°, I = 12
- 22.1°, I = 100
- 34.5°, I = 28
- 35.9°, I = 27
- 39.9°, I = 18
- 40.2°, I = 36
- 46.3°, I = 28
- 54.9°, I = 16
- 57.9°, I = 22
- 58.1°, I = 11

Structural model:
a b c (Å): 5.5268 5.5268 5.5268
angles (deg): 132.05 132.05 70.14
Atoms (fractional coordinates):
Li: 0.0000 0.0000 0.0000
Li: 0.7500 0.2500 0.5000
Ce: 0.2500 0.7500 0.5000
V: 0.5000 0.5000 0.0000
O: 0.0004 0.5004 0.5000
O: 0.2627 0.2627 0.0000
O: 0.4996 0.9996 0.5000
O: 0.7373 0.7373 0.0000